# 1
Starting from the PBE geometry in Alexandria, the XRD peak list of FeH2W2 was computed for CuKα.
Intensities are scaled so that the largest is 100.

Structure:
a b c (Å): 2.847 2.847 11.893
angles (deg): 90.00 90.00 90.00
Space group I4/mmm (No. 139)
Inequivalent atoms, fractional coordinates:
Fe 0.000 0.000 0.000 (multiplicity 2)
H 0.000 0.500 0.250 (multiplicity 4)
W 0.000 0.000 0.360 (multiplicity 4)

Most intense lines, 2θ from 10° to 90°, by intensity:
2.313 Å, I = 100
2.013 Å, I = 41
2.769 Å, I = 35
2.973 Å, I = 27
1.212 Å, I = 25
1.667 Å, I = 21
1.459 Å, I = 16
1.424 Å, I = 14
1.826 Å, I = 11
1.196 Å, I = 9


# 2
Starting from the PBE geometry in Alexandria, the XRD peak list of Ce2Ga3Au was computed for CuKα.
Intensities are scaled so that the largest is 100.

Structure:
a b c (Å): 4.066 4.406 15.333
angles (deg): 90.00 90.00 90.00
Space group Imm2 (No. 44)
Inequivalent atoms, fractional coordinates:
Ce 0.000 0.000 0.000 (multiplicity 2)
Ce 0.000 0.500 0.259 (multiplicity 2)
Ga 0.000 0.000 0.422 (multiplicity 2)
Ga 0.000 0.500 0.673 (multiplicity 2)
Ga 0.000 0.500 0.835 (multiplicity 2)
Au 0.000 0.000 0.589 (multiplicity 2)

Most intense lines, 2θ from 10° to 90°, by intensity:
2.784 Å, I = 100
2.517 Å, I = 40
3.182 Å, I = 27
2.203 Å, I = 25
2.448 Å, I = 23
2.033 Å, I = 20
1.582 Å, I = 19
1.962 Å, I = 17
1.494 Å, I = 14
1.928 Å, I = 14


Which formula does entry 1 have?
FeH2W2